Computed X-ray powder pattern
Compound: RbDy4Ga3O12
Radiation: copper Kα
Structure: a cell relaxed with PBE
No peak broadening, texture or thermal motion is included.

Most intense lines, 2θ = 15–90°, in order of falling intensity:
- 2.915 Å, 30.67°, intensity 100
- 1.683 Å, 54.53°, intensity 48
- 1.102 Å, 88.81°, intensity 21
- 2.061 Å, 43.93°, intensity 21
- 1.304 Å, 72.51°, intensity 19
- 4.122 Å, 21.56°, intensity 16
- 1.457 Å, 63.87°, intensity 12
- 1.844 Å, 49.44°, intensity 10
- 1.190 Å, 80.75°, intensity 5
- 2.380 Å, 37.80°, intensity 4

Crystal structure
a = 7.140 Å, b = 7.140 Å, c = 7.140 Å
α = 109.47°, β = 109.47°, γ = 109.47°
Fractional coordinates of all 20 atoms:
Rb 0.000 0.000 0.000
Dy 0.000 0.000 0.500
Dy 0.000 0.500 0.000
Dy 0.500 0.000 0.000
Dy 0.500 0.500 0.500
Ga 0.000 0.500 0.500
Ga 0.500 0.000 0.500
Ga 0.500 0.500 0.000
O 0.160 0.491 0.332
O 0.160 0.828 0.668
O 0.172 0.332 0.840
O 0.332 0.160 0.491
O 0.332 0.840 0.172
O 0.491 0.332 0.160
O 0.509 0.668 0.840
O 0.668 0.160 0.828
O 0.668 0.840 0.509
O 0.828 0.668 0.160
O 0.840 0.172 0.332
O 0.840 0.509 0.668


Computed X-ray powder pattern
Compound: RbUCuBr6
Radiation: copper Kα
Structure: a cell relaxed with PBE
No peak broadening, texture or thermal motion is included.

Most intense lines, 2θ = 15–90°, in order of falling intensity:
- 5.196 Å, 17.07°, intensity 100
- 3.571 Å, 24.94°, intensity 74
- 2.777 Å, 32.23°, intensity 71
- 2.032 Å, 44.59°, intensity 49
- 2.558 Å, 35.09°, intensity 47
- 4.498 Å, 19.74°, intensity 46
- 4.926 Å, 18.01°, intensity 38
- 2.730 Å, 32.81°, intensity 38
- 1.777 Å, 51.41°, intensity 33
- 2.941 Å, 30.39°, intensity 29

Crystal structure
a = 8.068 Å, b = 8.068 Å, c = 7.403 Å
α = 92.43°, β = 92.43°, γ = 130.62°
Fractional coordinates of all 9 atoms:
Rb 0.000 0.000 0.000
U 0.696 0.304 0.500
Cu 0.266 0.734 0.500
Br 0.040 0.364 0.328
Br 0.041 0.639 0.756
Br 0.361 0.959 0.244
Br 0.420 0.293 0.713
Br 0.636 0.960 0.672
Br 0.707 0.580 0.287


Computed X-ray powder pattern
Compound: Dy5Te8
Radiation: copper Kα
Structure: a cell relaxed with PBE
No peak broadening, texture or thermal motion is included.

Most intense lines, 2θ = 15–90°, in order of falling intensity:
- 3.327 Å, 26.80°, intensity 100
- 2.169 Å, 41.64°, intensity 81
- 3.359 Å, 26.54°, intensity 57
- 2.601 Å, 34.48°, intensity 48
- 2.625 Å, 34.15°, intensity 44
- 2.636 Å, 34.01°, intensity 27
- 2.046 Å, 44.28°, intensity 24
- 2.588 Å, 34.66°, intensity 24
- 1.394 Å, 67.16°, intensity 18
- 1.824 Å, 50.01°, intensity 17

Crystal structure
a = 8.471 Å, b = 8.471 Å, c = 10.356 Å
α = 126.27°, β = 126.27°, γ = 61.68°
Fractional coordinates of all 13 atoms:
Dy 0.000 0.000 0.000
Dy 0.261 0.739 0.500
Dy 0.268 0.268 0.008
Dy 0.732 0.732 0.992
Dy 0.739 0.261 0.500
Te 0.027 0.027 0.322
Te 0.031 0.548 0.829
Te 0.452 0.969 0.171
Te 0.453 0.453 0.663
Te 0.547 0.547 0.337
Te 0.548 0.031 0.829
Te 0.969 0.452 0.171
Te 0.973 0.973 0.678


Repeat the second record exactly.
Computed X-ray powder pattern
Compound: RbUCuBr6
Radiation: copper Kα
Structure: a cell relaxed with PBE
No peak broadening, texture or thermal motion is included.

Most intense lines, 2θ = 15–90°, in order of falling intensity:
- 5.196 Å, 17.07°, intensity 100
- 3.571 Å, 24.94°, intensity 74
- 2.777 Å, 32.23°, intensity 71
- 2.032 Å, 44.59°, intensity 49
- 2.558 Å, 35.09°, intensity 47
- 4.498 Å, 19.74°, intensity 46
- 4.926 Å, 18.01°, intensity 38
- 2.730 Å, 32.81°, intensity 38
- 1.777 Å, 51.41°, intensity 33
- 2.941 Å, 30.39°, intensity 29

Crystal structure
a = 8.068 Å, b = 8.068 Å, c = 7.403 Å
α = 92.43°, β = 92.43°, γ = 130.62°
Fractional coordinates of all 9 atoms:
Rb 0.000 0.000 0.000
U 0.696 0.304 0.500
Cu 0.266 0.734 0.500
Br 0.040 0.364 0.328
Br 0.041 0.639 0.756
Br 0.361 0.959 0.244
Br 0.420 0.293 0.713
Br 0.636 0.960 0.672
Br 0.707 0.580 0.287